# 1
TbSbPd: computed X-ray powder pattern (Cu Kα (λ = 1.5418 Å)), based on a crystal structure in the Materials Project, relaxed with GGA-PBE.

Crystal structure
a = 8.531 Å, b = 4.877 Å, c = 7.998 Å
α = 90.00°, β = 90.79°, γ = 90.00°
Space group C2/m (No. 12)
One atom of each set of equivalent atoms:
Tb 0.162 0.000 0.360 [4 per cell]
Sb 0.008 0.500 0.808 [4 per cell]
Pd 0.171 0.000 0.720 [4 per cell]

Peak list (12 most intense, 15 to 90 degrees two-theta, in order of rising 2θ)
two_theta	I (rel.)
22.23	60
23.73	26
23.85	30
30.86	19
36.58	100
36.86	50
39.84	65
40.13	34
42.98	20
43.47	41
55.62	25
68.43	26

# 2
TbSbPd: computed X-ray powder pattern (Cu Kα (λ = 1.5418 Å)), based on a crystal structure in the Materials Project, relaxed with GGA-PBE.

Crystal structure
a = 11.352 Å, b = 4.511 Å, c = 5.683 Å
α = 90.00°, β = 104.66°, γ = 90.00°
Space group C2/m (No. 12)
One atom of each set of equivalent atoms:
Tb 0.126 0.000 0.297 [4 per cell]
Sb 0.085 0.500 0.793 [4 per cell]
Pd 0.209 0.000 0.811 [4 per cell]

Peak list (12 most intense, 15 to 90 degrees two-theta, in order of rising 2θ)
two_theta	I (rel.)
28.06	14
31.47	25
32.52	100
32.61	9
38.40	35
39.97	28
40.23	8
40.95	16
48.26	9
52.48	26
57.97	8
64.40	7

# 3
Sb2Te4Pd3: computed X-ray powder pattern (Cu Kα (λ = 1.5418 Å)), based on a crystal structure in the Materials Project, relaxed with GGA-PBE.

Crystal structure
a = 6.666 Å, b = 6.672 Å, c = 19.976 Å
α = 89.81°, β = 89.54°, γ = 89.82°
Space group P1 (No. 1)
One atom of each set of equivalent atoms:
Sb 0.000 0.000 0.000 [1 per cell]
Sb 0.000 0.001 0.333 [1 per cell]
Sb 0.505 0.256 0.413 [1 per cell]
Sb 0.505 0.258 0.079 [1 per cell]
Sb 0.761 0.496 0.581 [1 per cell]
Sb 0.762 0.495 0.248 [1 per cell]
Sb 0.764 0.497 0.915 [1 per cell]
Sb 0.999 0.999 0.666 [1 per cell]
Te 0.004 0.499 0.081 [1 per cell]
Te 0.005 0.500 0.415 [1 per cell]
Te 0.006 0.499 0.747 [1 per cell]
Te 0.254 0.250 0.581 [1 per cell]
Te 0.255 0.249 0.915 [1 per cell]
Te 0.256 0.251 0.248 [1 per cell]
Te 0.261 0.758 0.834 [1 per cell]
Te 0.262 0.758 0.167 [1 per cell]
Te 0.262 0.758 0.500 [1 per cell]
Te 0.504 0.258 0.746 [1 per cell]
Te 0.504 0.749 0.664 [1 per cell]
Te 0.506 0.750 0.331 [1 per cell]
Te 0.507 0.750 0.998 [1 per cell]
Te 0.753 0.002 0.164 [1 per cell]
Te 0.755 0.001 0.498 [1 per cell]
Te 0.756 0.998 0.831 [1 per cell]
Pd 0.126 0.628 0.623 [1 per cell]
Pd 0.127 0.627 0.290 [1 per cell]
Pd 0.128 0.127 0.789 [1 per cell]
Pd 0.128 0.627 0.957 [1 per cell]
Pd 0.131 0.128 0.455 [1 per cell]
Pd 0.132 0.129 0.122 [1 per cell]
Pd 0.633 0.127 0.623 [1 per cell]
Pd 0.633 0.128 0.291 [1 per cell]
Pd 0.633 0.128 0.957 [1 per cell]
Pd 0.633 0.623 0.124 [1 per cell]
Pd 0.634 0.622 0.457 [1 per cell]
Pd 0.636 0.626 0.791 [1 per cell]

Peak list (12 most intense, 15 to 90 degrees two-theta, in order of rising 2θ)
two_theta	I (rel.)
26.75	44
29.92	99
30.04	100
32.78	39
32.92	63
33.01	49
44.97	39
45.11	67
45.24	53
49.18	22
51.08	21
51.32	35

# 4
TmSbPd: computed X-ray powder pattern (Cu Kα (λ = 1.5418 Å)), based on a crystal structure in the Materials Project, relaxed with GGA-PBE.

Crystal structure
a = 6.693 Å, b = 6.693 Å, c = 6.693 Å
α = 90.00°, β = 90.00°, γ = 90.00°
Space group F-43m (No. 216)
One atom of each set of equivalent atoms:
Tm 0.000 0.000 0.000 [4 per cell]
Sb 0.250 0.250 0.250 [4 per cell]
Pd 0.000 0.000 0.500 [4 per cell]

Peak list (12 most intense, 15 to 90 degrees two-theta, in order of rising 2θ)
two_theta	I (rel.)
23.02	28
26.64	20
38.03	100
44.92	14
47.03	6
54.87	17
60.28	6
62.01	7
68.71	35
73.53	4
81.33	11
85.92	5

# 5
U3Sb4Pd3: computed X-ray powder pattern (Cu Kα (λ = 1.5418 Å)), based on a crystal structure in the Materials Project, relaxed with GGA-PBE.

Crystal structure
a = 9.734 Å, b = 9.734 Å, c = 9.734 Å
α = 90.00°, β = 90.00°, γ = 90.00°
Space group I-43d (No. 220)
One atom of each set of equivalent atoms:
U 0.000 0.250 0.875 [12 per cell]
Sb 0.085 0.415 0.585 [16 per cell]
Pd 0.000 0.250 0.375 [12 per cell]

Peak list (12 most intense, 15 to 90 degrees two-theta, in order of rising 2θ)
two_theta	I (rel.)
22.37	13
29.01	38
34.47	100
41.49	48
43.61	12
45.66	14
51.41	14
58.44	18
60.12	11
66.55	11
69.65	11
71.18	15

# 6
USb2Pd: computed X-ray powder pattern (Cu Kα (λ = 1.5418 Å)), based on a crystal structure in the Materials Project, relaxed with GGA-PBE.

Crystal structure
a = 4.364 Å, b = 4.364 Å, c = 9.655 Å
α = 90.00°, β = 90.00°, γ = 90.00°
Space group P4/nmm (No. 129, origin choice 2)
One atom of each set of equivalent atoms:
U 0.250 0.250 0.248 [2 per cell]
Sb 0.250 0.250 0.822 [2 per cell]
Sb 0.250 0.750 0.500 [2 per cell]
Pd 0.250 0.750 0.000 [2 per cell]

Peak list (12 most intense, 15 to 90 degrees two-theta, in order of rising 2θ)
two_theta	I (rel.)
22.36	14
34.49	100
34.63	14
37.25	13
41.38	36
51.77	10
55.03	8
56.88	16
59.95	12
68.33	9
71.05	27
72.74	8

# 7
U2Sb4Pd: computed X-ray powder pattern (Cu Kα (λ = 1.5418 Å)), based on a crystal structure in the Materials Project, relaxed with GGA-PBE.

Crystal structure
a = 4.371 Å, b = 4.371 Å, c = 9.278 Å
α = 90.00°, β = 90.00°, γ = 90.00°
Space group P-4m2 (No. 115)
One atom of each set of equivalent atoms:
U 0.000 0.500 0.237 [2 per cell]
Sb 0.000 0.000 0.500 [1 per cell]
Sb 0.000 0.500 0.834 [2 per cell]
Sb 0.500 0.500 0.500 [1 per cell]
Pd 0.500 0.500 0.000 [1 per cell]

Peak list (12 most intense, 15 to 90 degrees two-theta, in order of rising 2θ)
two_theta	I (rel.)
22.49	25
28.88	23
30.49	14
34.88	100
35.56	24
41.31	44
53.66	14
55.62	13
57.98	17
59.85	14
69.90	13
71.18	26

# 8
YSbPd2: computed X-ray powder pattern (Cu Kα (λ = 1.5418 Å)), based on a crystal structure in the Materials Project, relaxed with GGA-PBE.

Crystal structure
a = 3.659 Å, b = 3.659 Å, c = 6.210 Å
α = 90.00°, β = 90.00°, γ = 90.00°
Space group P4/mmm (No. 123)
One atom of each set of equivalent atoms:
Y 0.000 0.000 0.000 [1 per cell]
Sb 0.000 0.000 0.500 [1 per cell]
Pd 0.500 0.500 0.249 [2 per cell]

Peak list (11 most intense, 15 to 90 degrees two-theta, in order of rising 2θ)
two_theta	I (rel.)
28.31	1
34.67	65
38.01	100
49.84	23
59.55	7
64.35	41
70.78	15
73.15	7
81.28	11
83.56	10
85.54	9

# 9
Y3Sb4Pd8: computed X-ray powder pattern (Cu Kα (λ = 1.5418 Å)), based on a crystal structure in the Materials Project, relaxed with GGA-PBE.

Crystal structure
a = 13.278 Å, b = 13.278 Å, c = 13.278 Å
α = 90.00°, β = 90.00°, γ = 90.00°
Space group Fm-3m (No. 225)
One atom of each set of equivalent atoms:
Y 0.000 0.000 0.224 [24 per cell]
Sb 0.000 0.000 0.000 [4 per cell]
Sb 0.000 0.000 0.500 [4 per cell]
Sb 0.000 0.250 0.250 [24 per cell]
Pd 0.119 0.119 0.381 [32 per cell]
Pd 0.167 0.167 0.167 [32 per cell]

Peak list (12 most intense, 15 to 90 degrees two-theta, in order of rising 2θ)
two_theta	I (rel.)
35.12	31
38.35	100
40.18	12
40.77	6
43.09	7
44.76	9
45.30	11
55.35	8
67.26	10
69.34	22
70.57	7
82.12	9

# 10
Zr2Sb3Pd: computed X-ray powder pattern (Cu Kα (λ = 1.5418 Å)), based on a crystal structure in the Materials Project, relaxed with GGA-PBE.

Crystal structure
a = 3.961 Å, b = 3.961 Å, c = 8.739 Å
α = 90.00°, β = 90.00°, γ = 90.00°
Space group P-4m2 (No. 115)
One atom of each set of equivalent atoms:
Zr 0.000 0.500 0.239 [2 per cell]
Sb 0.000 0.500 0.884 [2 per cell]
Sb 0.500 0.500 0.500 [1 per cell]
Pd 0.000 0.000 0.500 [1 per cell]

Peak list (12 most intense, 15 to 90 degrees two-theta, in order of rising 2θ)
two_theta	I (rel.)
30.46	34
30.69	30
33.60	100
38.16	59
38.36	56
45.81	50
56.16	21
61.24	28
66.80	16
73.25	13
76.88	18
79.62	13

# 11
Zr3Sb7Pd: computed X-ray powder pattern (Cu Kα (λ = 1.5418 Å)), based on a crystal structure in the Materials Project, relaxed with GGA-PBE.

Crystal structure
a = 17.793 Å, b = 3.991 Å, c = 14.727 Å
α = 90.00°, β = 90.00°, γ = 90.00°
Space group Pnma (No. 62)
One atom of each set of equivalent atoms:
Zr 0.108 0.250 0.089 [4 per cell]
Zr 0.131 0.250 0.529 [4 per cell]
Zr 0.154 0.250 0.811 [4 per cell]
Sb 0.019 0.750 0.195 [4 per cell]
Sb 0.036 0.750 0.430 [4 per cell]
Sb 0.071 0.750 0.939 [4 per cell]
Sb 0.093 0.750 0.676 [4 per cell]
Sb 0.216 0.250 0.320 [4 per cell]
Sb 0.228 0.750 0.147 [4 per cell]
Sb 0.249 0.750 0.481 [4 per cell]
Pd 0.066 0.250 0.310 [4 per cell]

Peak list (12 most intense, 15 to 90 degrees two-theta, in order of rising 2θ)
two_theta	I (rel.)
30.11	21
30.74	31
32.62	34
33.50	100
35.07	14
38.30	19
38.54	34
39.77	15
39.94	12
45.45	31
47.21	11
76.29	9

# 12
ZrSbPd: computed X-ray powder pattern (Cu Kα (λ = 1.5418 Å)), based on a crystal structure in the Materials Project, relaxed with GGA-PBE.

Crystal structure
a = 6.882 Å, b = 4.347 Å, c = 8.045 Å
α = 90.00°, β = 90.00°, γ = 90.00°
Space group Pnma (No. 62)
One atom of each set of equivalent atoms:
Zr 0.019 0.250 0.194 [4 per cell]
Sb 0.234 0.750 0.392 [4 per cell]
Pd 0.163 0.250 0.572 [4 per cell]

Peak list (12 most intense, 15 to 90 degrees two-theta, in order of rising 2θ)
two_theta	I (rel.)
33.02	49
33.21	16
34.30	25
35.08	100
39.49	74
40.91	24
41.55	49
45.52	14
47.83	15
59.73	15
65.33	20
71.65	16